Record 1
Computed X-ray powder pattern of HoZnInNi for Cu Ka, from a cell relaxed with PBE.
Kinematic intensities with the Lorentz-polarization factor, no thermal factor.

The 10 most intense peaks (15 to 90 degrees two-theta), in order of rising 2θ:
(1 1 1), 2θ 26.23, d 3.397, I 33; (1 1 -2), 2θ 33.49, d 2.676, I 78; (1 1 2), 2θ 33.72, d 2.658, I 100; (3 1 0), 2θ 35.03, d 2.562, I 46; (3 1 -1), 2θ 36.96, d 2.432, I 98; (3 1 1), 2θ 37.29, d 2.412, I 47; (4 0 1), 2θ 39.14, d 2.302, I 37; (2 0 3), 2θ 41.20, d 2.191, I 32; (0 2 0), 2θ 43.39, d 2.086, I 94; (2 2 3), 2θ 61.34, d 1.511, I 28

Atomic structure:
```
data_HoZnInNi
_space_group_name_H-M_alt 'C 1 2/m 1'
_space_group_IT_number 12
_cell_length_a 9.7391
_cell_length_b 4.1710
_cell_length_c 7.4257
_cell_angle_alpha 90.00
_cell_angle_beta 90.98
_cell_angle_gamma 90.00
loop_
_space_group_symop_operation_xyz
'x,y,z'
'-x,-y,-z'
'-x,y,-z'
'x,-y,z'
'x+1/2,y+1/2,z'
'-x+1/2,-y+1/2,-z'
'-x+1/2,y+1/2,-z'
'x+1/2,-y+1/2,z'
loop_
_atom_site_label
_atom_site_type_symbol
_atom_site_fract_x
_atom_site_fract_y
_atom_site_fract_z
_atom_site_occupancy
Ho1 Ho 0.0683 0.0000 0.2778 1
Zn1 Zn 0.1445 0.5000 0.5530 1
In1 In 0.1438 0.5000 0.9435 1
Ni1 Ni 0.2204 0.0000 0.7327 1
```

Record 2
Computed X-ray powder pattern of Rb2HoInO4 for Cu Ka, from a cell relaxed with PBE.
Kinematic intensities with the Lorentz-polarization factor, no thermal factor.

The 10 most intense peaks (15 to 90 degrees two-theta), in order of rising 2θ:
(0 0 4), 2θ 27.88, d 3.200, I 36; (1 0 0), 2θ 30.30, d 2.949, I 13; (0 1 1), 2θ 31.12, d 2.874, I 16; (1 0 2), 2θ 33.45, d 2.679, I 100; (1 0 3), 2θ 37.05, d 2.426, I 27; (0 1 4), 2θ 41.64, d 2.169, I 20; (1 0 6), 2θ 52.97, d 1.729, I 33; (1 1 0), 2θ 53.84, d 1.703, I 27; (1 1 4), 2θ 61.71, d 1.503, I 24; (0 2 2), 2θ 64.89, d 1.437, I 15

Atomic structure:
```
data_Rb2HoInO4
_space_group_name_H-M_alt 'P -3 m 1'
_space_group_IT_number 164
_space_group_name_Hall '-P 3 2"'
_cell_length_a 3.4056
_cell_length_b 3.4056
_cell_length_c 12.8009
_cell_angle_alpha 90.00
_cell_angle_beta 90.00
_cell_angle_gamma 120.00
loop_
_atom_site_label
_atom_site_type_symbol
_atom_site_fract_x
_atom_site_fract_y
_atom_site_fract_z
_atom_site_occupancy
Rb1 Rb 0.3333 0.6667 0.2543 1
Ho1 Ho 0.0000 0.0000 0.0000 1
In1 In 0.0000 0.0000 0.5000 1
O1 O 0.3333 0.6667 0.5876 1
O2 O 0.3333 0.6667 0.9094 1
```

Record 3
Computed X-ray powder pattern of Ho2Tm2In5Os2 for Cu Ka, from a cell relaxed with PBE.
Kinematic intensities with the Lorentz-polarization factor, no thermal factor.

The 10 most intense peaks (15 to 90 degrees two-theta), in order of rising 2θ:
(1 1 -2), 2θ 33.05, d 2.710, I 71; (1 1 2), 2θ 33.94, d 2.642, I 100; (2 1 0), 2θ 34.39, d 2.608, I 77; (3 0 0), 2θ 34.93, d 2.569, I 39; (2 0 -3), 2θ 35.21, d 2.549, I 37; (2 1 1), 2θ 36.08, d 2.489, I 32; (2 0 3), 2θ 37.67, d 2.388, I 42; (0 1 3), 2θ 37.84, d 2.377, I 62; (1 0 -4), 2θ 38.50, d 2.338, I 90; (0 2 0), 2θ 51.60, d 1.771, I 42

Atomic structure:
```
data_Ho2Tm2In5Os2
_space_group_name_H-M_alt 'P 1 2/m 1'
_space_group_IT_number 10
_cell_length_a 7.7232
_cell_length_b 3.5431
_cell_length_c 9.6397
_cell_angle_alpha 90.00
_cell_angle_beta 93.79
_cell_angle_gamma 90.00
loop_
_space_group_symop_operation_xyz
'x,y,z'
'-x,-y,-z'
'-x,y,-z'
'x,-y,z'
loop_
_atom_site_label
_atom_site_type_symbol
_atom_site_fract_x
_atom_site_fract_y
_atom_site_fract_z
_atom_site_occupancy
Ho1 Ho 0.1729 0.0000 0.3510 1
Tm1 Tm 0.2164 0.0000 0.9438 1
In1 In 0.1755 0.5000 0.6543 1
In2 In 0.4479 0.5000 0.1726 1
In3 In 0.5000 0.5000 0.5000 1
Os1 Os 0.0705 0.5000 0.1381 1
```

Record 4
Computed X-ray powder pattern of Ho5In4Pd2 for Cu Ka, from a cell relaxed with PBE.
Kinematic intensities with the Lorentz-polarization factor, no thermal factor.

The 10 most intense peaks (15 to 90 degrees two-theta), in order of rising 2θ:
(1 6 0), 2θ 31.55, d 2.836, I 37; (1 4 1), 2θ 33.48, d 2.676, I 89; (2 2 1), 2θ 34.71, d 2.585, I 100; (3 2 0), 2θ 34.92, d 2.570, I 43; (1 7 0), 2θ 36.37, d 2.470, I 38; (2 3 1), 2θ 36.48, d 2.463, I 32; (1 5 1), 2θ 36.70, d 2.448, I 52; (2 6 0), 2θ 37.18, d 2.419, I 25; (0 0 2), 2θ 50.19, d 1.818, I 31; (5 1 1), 2θ 63.51, d 1.465, I 31

Atomic structure:
```
data_Ho5In4Pd2
_space_group_name_H-M_alt 'P b a m'
_space_group_IT_number 55
_cell_length_a 8.0374
_cell_length_b 18.1703
_cell_length_c 3.6356
_cell_angle_alpha 90.00
_cell_angle_beta 90.00
_cell_angle_gamma 90.00
loop_
_space_group_symop_operation_xyz
'x,y,z'
'-x,-y,-z'
'-x,-y,z'
'x,y,-z'
'x+1/2,-y+1/2,-z'
'-x+1/2,y+1/2,z'
'-x+1/2,y+1/2,-z'
'x+1/2,-y+1/2,z'
loop_
_atom_site_label
_atom_site_type_symbol
_atom_site_fract_x
_atom_site_fract_y
_atom_site_fract_z
_atom_site_occupancy
Ho1 Ho 0.0000 0.0000 0.0000 1
Ho2 Ho 0.1157 0.4173 0.0000 1
Ho3 Ho 0.2406 0.2198 0.0000 1
In1 In 0.0792 0.8508 0.5000 1
In2 In 0.2113 0.5683 0.5000 1
Pd1 Pd 0.0247 0.3045 0.5000 1
```